# Y2HoB2Pd2N3
Simulated powder XRD pattern, CuKα. Input: the PBE geometry in OQMD.
Neutral-atom scattering factors, no anomalous dispersion.

Structural model:
```
Y2HoB2Pd2N3
1.0
-1.819 1.819 10.123
1.819 -1.819 10.123
1.819 1.819 -10.123
Y Ho B Pd N
2 1 2 2 3
direct
0.118 0.118 0.000 Y
0.882 0.882 0.000 Y
0.500 0.500 0.000 Ho
0.316 0.316 0.000 B
0.684 0.684 0.000 B
0.250 0.750 0.500 Pd
0.750 0.250 0.500 Pd
0.000 0.000 0.000 N
0.387 0.387 0.000 N
0.613 0.613 0.000 N
```

Most intense lines, 2θ from 10° to 80°, by intensity:
2theta, I_rel
36.02, 100
33.10, 66
27.86, 63
35.47, 53
50.14, 44
44.27, 42
62.92, 38
57.96, 36

---

# YHoB4N
Simulated powder XRD pattern, CuKα. Input: the PBE geometry in OQMD.
Neutral-atom scattering factors, no anomalous dispersion.

Structural model:
```
YHoB4N
1.0
-1.625 3.215 3.743
1.625 -3.215 3.743
1.625 3.215 -3.743
Y Ho B N
1 1 4 1
direct
0.000 0.000 0.000 Y
0.467 0.467 0.000 Ho
0.005 0.734 0.272 B
0.462 0.734 0.728 B
0.594 0.233 0.361 B
0.872 0.233 0.639 B
0.235 0.735 0.500 N
```

Most intense lines, 2θ from 10° to 80°, by intensity:
2theta, I_rel
39.30, 100
30.83, 66
27.75, 52
36.85, 51
23.77, 48
18.19, 27
57.05, 26
51.04, 21

---

# Na2Ho2B2TeO10
Simulated powder XRD pattern, CuKα. Input: the PBE geometry in OQMD.
Neutral-atom scattering factors, no anomalous dispersion.

Structural model:
```
Na2Ho2B2TeO10
1.0
6.268 0.000 0.000
0.000 9.904 0.000
-1.628 0.000 6.497
Na Ho B Te O
4 4 4 2 20
direct
0.084 0.110 0.167 Na
0.084 0.390 0.667 Na
0.916 0.610 0.333 Na
0.916 0.890 0.833 Na
0.374 0.667 0.977 Ho
0.374 0.833 0.477 Ho
0.626 0.167 0.523 Ho
0.626 0.333 0.023 Ho
0.162 0.101 0.626 B
0.162 0.399 0.126 B
0.838 0.601 0.874 B
0.838 0.899 0.374 B
0.500 0.000 0.000 Te
0.500 0.500 0.500 Te
0.020 0.675 0.950 O
0.020 0.825 0.450 O
0.205 0.062 0.836 O
0.205 0.438 0.336 O
0.301 0.060 0.508 O
0.301 0.440 0.008 O
0.334 0.616 0.635 O
0.334 0.884 0.135 O
0.490 0.152 0.178 O
0.490 0.348 0.678 O
0.510 0.652 0.322 O
0.510 0.848 0.822 O
0.666 0.116 0.865 O
0.666 0.384 0.365 O
0.699 0.560 0.992 O
0.699 0.940 0.492 O
0.795 0.562 0.664 O
0.795 0.938 0.164 O
0.980 0.175 0.550 O
0.980 0.325 0.050 O
```

Most intense lines, 2θ from 10° to 80°, by intensity:
2theta, I_rel
14.57, 100
30.37, 65
27.46, 42
17.11, 40
32.30, 39
30.77, 37
27.82, 27
34.51, 22

---

# Ho3Ni19B10
Simulated powder XRD pattern, CuKα. Input: the PBE geometry in OQMD.
Neutral-atom scattering factors, no anomalous dispersion.

Structural model:
```
Ho3Ni19B10
1.0
6.593 -4.365 0.000
6.593 4.365 0.000
-0.140 0.000 5.773
Ho Ni B
3 19 10
direct
0.000 0.000 0.000 Ho
0.374 0.374 0.615 Ho
0.626 0.626 0.385 Ho
0.000 0.000 0.500 Ni
0.045 0.517 0.302 Ni
0.122 0.623 0.926 Ni
0.162 0.162 0.703 Ni
0.182 0.182 0.271 Ni
0.230 0.711 0.301 Ni
0.289 0.770 0.699 Ni
0.377 0.878 0.074 Ni
0.378 0.378 0.127 Ni
0.483 0.955 0.698 Ni
0.517 0.045 0.302 Ni
0.622 0.622 0.873 Ni
0.623 0.122 0.926 Ni
0.711 0.230 0.301 Ni
0.770 0.289 0.699 Ni
0.818 0.818 0.729 Ni
0.838 0.838 0.297 Ni
0.878 0.377 0.074 Ni
0.955 0.483 0.698 Ni
0.065 0.699 0.569 B
0.142 0.350 0.975 B
0.301 0.935 0.431 B
0.350 0.142 0.975 B
0.385 0.615 0.000 B
0.615 0.385 0.000 B
0.650 0.858 0.025 B
0.699 0.065 0.569 B
0.858 0.650 0.025 B
0.935 0.301 0.431 B
```

Most intense lines, 2θ from 10° to 80°, by intensity:
2theta, I_rel
41.37, 100
40.13, 94
38.30, 60
35.57, 49
47.22, 48
48.70, 44
37.31, 41
37.86, 40

---

# Ho4NiB14
Simulated powder XRD pattern, CuKα. Input: the PBE geometry in OQMD.
Neutral-atom scattering factors, no anomalous dispersion.

Structural model:
```
Ho4NiB14
1.0
7.199 0.000 0.000
0.000 7.199 0.000
0.000 0.000 7.457
Ho Ni B
8 2 28
direct
0.168 0.306 0.000 Ho
0.194 0.332 0.500 Ho
0.306 0.832 0.000 Ho
0.332 0.806 0.500 Ho
0.668 0.194 0.500 Ho
0.694 0.168 0.000 Ho
0.806 0.668 0.500 Ho
0.832 0.694 0.000 Ho
0.000 0.000 0.500 Ni
0.500 0.500 0.000 Ni
0.000 0.000 0.111 B
0.000 0.000 0.889 B
0.039 0.825 0.268 B
0.039 0.825 0.732 B
0.089 0.589 0.250 B
0.089 0.589 0.750 B
0.175 0.039 0.268 B
0.175 0.039 0.732 B
0.325 0.539 0.232 B
0.325 0.539 0.768 B
0.411 0.089 0.250 B
0.411 0.089 0.750 B
0.461 0.325 0.232 B
0.461 0.325 0.768 B
0.500 0.500 0.389 B
0.500 0.500 0.611 B
0.539 0.675 0.232 B
0.539 0.675 0.768 B
0.589 0.911 0.250 B
0.589 0.911 0.750 B
0.675 0.461 0.232 B
0.675 0.461 0.768 B
0.825 0.961 0.268 B
0.825 0.961 0.732 B
0.911 0.411 0.250 B
0.911 0.411 0.750 B
0.961 0.175 0.268 B
0.961 0.175 0.732 B
```

Most intense lines, 2θ from 10° to 80°, by intensity:
2theta, I_rel
36.89, 100
27.71, 86
23.86, 65
34.64, 37
58.36, 32
24.73, 30
52.40, 29
46.75, 26

---

# Tb2HoNi2B2P3
Simulated powder XRD pattern, CuKα. Input: the PBE geometry in OQMD.
Neutral-atom scattering factors, no anomalous dispersion.

Structural model:
```
Tb2HoNi2B2P3
1.0
-1.970 1.970 10.596
1.970 -1.970 10.596
1.970 1.970 -10.596
Tb Ho Ni B P
2 1 2 2 3
direct
0.137 0.137 0.000 Tb
0.863 0.863 0.000 Tb
0.500 0.500 0.000 Ho
0.250 0.750 0.500 Ni
0.750 0.250 0.500 Ni
0.281 0.281 0.000 B
0.719 0.719 0.000 B
0.000 0.000 0.000 P
0.373 0.373 0.000 P
0.627 0.627 0.000 P
```

Most intense lines, 2θ from 10° to 80°, by intensity:
2theta, I_rel
25.89, 100
41.27, 54
32.13, 52
46.08, 46
33.84, 45
58.38, 36
33.25, 30
36.44, 29

---

# HoTmNi2B2P2
Simulated powder XRD pattern, CuKα. Input: the PBE geometry in OQMD.
Neutral-atom scattering factors, no anomalous dispersion.

Structural model:
```
HoTmNi2B2P2
1.0
3.853 0.000 0.000
0.000 3.853 0.000
0.000 0.000 7.837
Ho Tm Ni B P
1 1 2 2 2
direct
0.000 0.000 0.000 Ho
0.500 0.500 0.414 Tm
0.000 0.500 0.707 Ni
0.500 0.000 0.707 Ni
0.000 0.000 0.612 B
0.500 0.500 0.806 B
0.000 0.000 0.363 P
0.500 0.500 0.055 P
```

Most intense lines, 2θ from 10° to 80°, by intensity:
2theta, I_rel
25.77, 100
40.32, 88
47.18, 43
34.87, 41
34.33, 33
32.88, 32
41.78, 28
54.53, 28

---

# YHo2Ni2B2P3
Simulated powder XRD pattern, CuKα. Input: the PBE geometry in OQMD.
Neutral-atom scattering factors, no anomalous dispersion.

Structural model:
```
YHo2Ni2B2P3
1.0
-1.962 1.962 10.635
1.962 -1.962 10.635
1.962 1.962 -10.635
Y Ho Ni B P
1 2 2 2 3
direct
0.000 0.000 0.000 Y
0.363 0.363 0.000 Ho
0.637 0.637 0.000 Ho
0.250 0.750 0.500 Ni
0.750 0.250 0.500 Ni
0.219 0.219 0.000 B
0.781 0.781 0.000 B
0.128 0.128 0.000 P
0.500 0.500 0.000 P
0.872 0.872 0.000 P
```

Most intense lines, 2θ from 10° to 80°, by intensity:
2theta, I_rel
25.96, 100
36.53, 73
41.33, 59
32.27, 58
46.28, 57
33.71, 56
58.47, 44
53.83, 29

---

# PrHoNi8B2
Simulated powder XRD pattern, CuKα. Input: the PBE geometry in OQMD.
Neutral-atom scattering factors, no anomalous dispersion.

Structural model:
```
PrHoNi8B2
1.0
5.025 0.000 0.000
-2.513 4.352 0.000
0.000 0.000 7.006
Pr Ho Ni B
1 1 8 2
direct
0.000 0.000 0.000 Pr
0.000 0.000 0.500 Ho
0.000 0.500 0.296 Ni
0.000 0.500 0.704 Ni
0.333 0.667 0.000 Ni
0.500 0.000 0.296 Ni
0.500 0.000 0.704 Ni
0.500 0.500 0.296 Ni
0.500 0.500 0.704 Ni
0.667 0.333 0.000 Ni
0.333 0.667 0.500 B
0.667 0.333 0.500 B
```

Most intense lines, 2θ from 10° to 80°, by intensity:
2theta, I_rel
44.37, 100
32.82, 86
41.50, 76
35.73, 30
62.36, 27
70.22, 24
75.70, 21
64.89, 16

---

# SmHoNi8B2
Simulated powder XRD pattern, CuKα. Input: the PBE geometry in OQMD.
Neutral-atom scattering factors, no anomalous dispersion.

Structural model:
```
SmHoNi8B2
1.0
4.998 0.000 0.000
-2.499 4.329 0.000
0.000 0.000 6.984
Sm Ho Ni B
1 1 8 2
direct
0.000 0.000 0.000 Sm
0.000 0.000 0.500 Ho
0.000 0.500 0.294 Ni
0.000 0.500 0.706 Ni
0.333 0.667 0.000 Ni
0.500 0.000 0.294 Ni
0.500 0.000 0.706 Ni
0.500 0.500 0.294 Ni
0.500 0.500 0.706 Ni
0.667 0.333 0.000 Ni
0.333 0.667 0.500 B
0.667 0.333 0.500 B
```

Most intense lines, 2θ from 10° to 80°, by intensity:
2theta, I_rel
44.59, 100
32.96, 88
41.73, 75
35.93, 31
62.71, 28
70.63, 24
76.19, 21
65.18, 16

---

# SmHoNi8B2
Simulated powder XRD pattern, CuKα. Input: the PBE geometry in OQMD.
Neutral-atom scattering factors, no anomalous dispersion.

Structural model:
```
SmHoNi8B2
1.0
5.010 0.000 0.000
-2.505 4.339 0.000
0.000 0.000 6.977
Sm Ho Ni B
1 1 8 2
direct
0.000 0.000 0.000 Sm
0.000 0.000 0.500 Ho
0.000 0.500 0.209 Ni
0.000 0.500 0.791 Ni
0.333 0.667 0.500 Ni
0.500 0.000 0.209 Ni
0.500 0.000 0.791 Ni
0.500 0.500 0.209 Ni
0.500 0.500 0.791 Ni
0.667 0.333 0.500 Ni
0.333 0.667 0.000 B
0.667 0.333 0.000 B
```

Most intense lines, 2θ from 10° to 80°, by intensity:
2theta, I_rel
44.53, 100
32.95, 89
41.63, 74
35.85, 31
62.59, 28
70.48, 24
75.97, 21
69.10, 16

---

# Ho4SnB2Pb
Simulated powder XRD pattern, CuKα. Input: the PBE geometry in OQMD.
Neutral-atom scattering factors, no anomalous dispersion.

Structural model:
```
Ho4SnB2Pb
1.0
3.656 0.000 0.000
-1.828 3.167 0.000
0.000 0.000 16.535
Ho Sn B Pb
4 1 2 1
direct
0.000 0.000 0.156 Ho
0.000 0.000 0.844 Ho
0.333 0.667 0.338 Ho
0.333 0.667 0.662 Ho
0.333 0.667 0.000 Sn
0.667 0.333 0.248 B
0.667 0.333 0.752 B
0.000 0.000 0.500 Pb
```

Most intense lines, 2θ from 10° to 80°, by intensity:
2theta, I_rel
32.61, 100
60.83, 38
28.18, 23
49.88, 21
32.49, 21
58.04, 17
43.54, 15
80.00, 7